Entry 1:
This entry pairs a crystal structure of HoPu4O10 with its calculated X-ray powder pattern. Radiation: Cu Ka. Structure: a cell relaxed with GGA-PBE.

Peak list (10 most intense, 10° ≤ 2θ ≤ 90°, low angle first)
2θ (°)  intensity  h k l
28.8  100  1 0 5
33.4  37  1 1 0
48.0  49  2 0 0
57.0  46  2 1 5
59.8  10  2 0 10
70.2  8  2 2 0
77.6  19  3 0 5
80.0  5  3 1 0
80.1  9  2 2 10
89.6  17  3 1 10

abc: 3.791 3.791 26.792
angles: 90.00 90.00 90.00
Space group I4/mmm (No. 139)
Unique sites:
1 Ho 0.000 0.000 0.000 x2
2 Pu 0.000 0.000 0.199 x4
3 Pu 0.000 0.000 0.402 x4
4 O 0.000 0.500 0.052 x8
5 O 0.000 0.500 0.150 x8
6 O 0.000 0.500 0.250 x4

Entry 2:
This entry pairs a crystal structure of CaLaRhS with its calculated X-ray powder pattern. Radiation: Cu Ka. Structure: a cell relaxed with GGA-PBE.

Peak list (10 most intense, 10° ≤ 2θ ≤ 90°, low angle first)
2θ (°)  intensity  h k l
12.7  45  0 0 3
25.5  23  1 0 1
30.5  100  1 0 4
39.4  12  1 0 7
43.0  36  0 1 8
44.3  35  1 1 0
46.3  12  1 1 3
54.7  24  0 2 4
71.0  14  1 1 12
73.0  17  2 1 4

abc: 4.0889 4.0889 20.9487
angles: 90.00 90.00 120.00
Space group R3m (No. 160, hexagonal axes)
Unique sites:
1 Ca 0.0000 0.0000 0.0000 x3
2 La 0.0000 0.0000 0.4970 x3
3 Rh 0.0000 0.0000 0.7593 x3
4 S 0.0000 0.0000 0.2550 x3

Entry 3:
This entry pairs a crystal structure of MnSiP with its calculated X-ray powder pattern. Radiation: Cu Ka. Structure: a cell relaxed with GGA-PBE.

Peak list (10 most intense, 10° ≤ 2θ ≤ 90°, low angle first)
2θ (°)  intensity  h k l
18.3  83  1 0 1
38.3  28  1 1 1
38.5  26  1 0 4
41.3  100  1 1 2
42.1  23  2 0 3
46.9  34  1 0 5
48.2  22  2 1 1
50.7  19  3 0 1
53.1  28  3 0 2
54.7  41  2 1 3

abc: 5.486 2.688 10.350
angles: 90.00 90.00 90.00
Space group Pnma (No. 62)
Unique sites:
1 Mn 0.042 0.250 0.112 x4
2 Si 0.121 0.250 0.699 x4
3 P 0.227 0.750 0.436 x4

Entry 4:
This entry pairs a crystal structure of Li2AcCrN4 with its calculated X-ray powder pattern. Radiation: Cu Ka. Structure: a cell relaxed with GGA-PBE.

Peak list (10 most intense, 10° ≤ 2θ ≤ 90°, low angle first)
2θ (°)  intensity  h k l
20.6  96  1 1 0
23.0  63  2 0 0
24.2  100  0 1 1
33.6  82  2 1 1
34.4  26  0 0 2
34.5  27  0 2 0
39.0  29  3 1 0
40.4  51  1 1 2
41.8  50  2 0 2
53.0  26  3 2 1

abc: 7.724 5.204 5.219
angles: 90.00 90.00 90.00
Space group Pmn2_1 (No. 31)
Unique sites:
1 Li 0.245 0.209 0.000 x4
2 Ac 0.000 0.239 0.503 x2
3 Cr 0.000 0.704 0.986 x2
4 N 0.000 0.370 0.023 x2
5 N 0.000 0.748 0.655 x2
6 N 0.183 0.840 0.126 x4

Entry 5:
This entry pairs a crystal structure of Cs2Rb13 with its calculated X-ray powder pattern. Radiation: Cu Ka. Structure: a cell relaxed with GGA-PBE.

Peak list (10 most intense, 10° ≤ 2θ ≤ 90°, low angle first)
2θ (°)  intensity  h k l
15.8  26  0 2 1
20.8  31  2 1 1
21.5  52  0 1 8
23.0  100  2 1 4
23.5  24  0 2 7
24.2  37  1 2 5
24.7  45  0 3 3
38.6  29  3 0 12
40.1  29  2 3 8
41.3  23  3 3 0

abc: 13.1144 13.1144 35.5157
angles: 90.00 90.00 120.00
Space group R-3m (No. 166, hexagonal axes)
Unique sites:
1 Cs 0.0000 0.0000 0.2410 x6
2 Rb 0.0000 0.0000 0.0000 x3
3 Rb 0.0850 0.5425 0.3028 x18
4 Rb 0.0877 0.5439 0.5580 x18

Entry 6:
This entry pairs a crystal structure of MgNiTe2 with its calculated X-ray powder pattern. Radiation: Cu Ka. Structure: a cell relaxed with GGA-PBE.

Peak list (10 most intense, 10° ≤ 2θ ≤ 90°, low angle first)
2θ (°)  intensity  h k l
16.1  18  1 0 1
25.2  100  1 1 2
28.9  10  2 0 0
39.6  8  2 1 3
41.4  18  2 2 0
41.9  40  2 0 4
49.1  23  3 1 2
50.0  15  1 1 6
66.9  9  3 1 6
75.8  7  4 2 4

abc: 6.174 6.174 12.034
angles: 90.00 90.00 90.00
Space group I-42d (No. 122)
Unique sites:
1 Mg 0.000 0.000 0.000 x4
2 Ni 0.000 0.000 0.500 x4
3 Te 0.203 0.250 0.625 x8

Entry 7:
This entry pairs a crystal structure of MgSc6Cd2 with its calculated X-ray powder pattern. Radiation: Cu Ka. Structure: a cell relaxed with GGA-PBE.

Peak list (10 most intense, 10° ≤ 2θ ≤ 90°, low angle first)
2θ (°)  intensity  h k l
12.4  42  2 0 -1
19.1  45  0 0 2
20.7  32  2 0 1
31.6  52  1 1 1
33.6  100  2 0 -4
34.5  71  4 0 1
34.6  50  3 1 -2
35.4  71  3 1 0
37.7  58  6 0 -3
38.3  37  3 1 -3

abc: 14.586 3.191 10.823
angles: 90.00 120.62 90.00
Space group C2/m (No. 12)
Unique sites:
1 Mg 0.000 0.000 0.000 x2
2 Sc 0.044 0.000 0.744 x4
3 Sc 0.120 0.500 0.548 x4
4 Sc 0.237 0.000 0.117 x4
5 Cd 0.156 0.500 0.292 x4

Entry 8:
This entry pairs a crystal structure of Er3MgAl with its calculated X-ray powder pattern. Radiation: Cu Ka. Structure: a cell relaxed with GGA-PBE.

Peak list (10 most intense, 10° ≤ 2θ ≤ 90°, low angle first)
2θ (°)  intensity  h k l
25.2  46  1 1 1
26.6  20  0 6 0
33.5  100  1 5 1
35.3  47  2 0 0
44.8  20  2 6 0
50.8  17  2 0 2
56.5  14  1 11 1
58.6  15  2 10 0
62.3  34  3 5 1
79.5  11  3 11 1

abc: 5.080 20.084 5.077
angles: 90.00 90.00 90.00
Space group Cmcm (No. 63)
Unique sites:
1 Er 0.000 0.062 0.250 x4
2 Er 0.000 0.250 0.250 x4
3 Er 0.000 0.437 0.250 x4
4 Mg 0.000 0.157 0.750 x4
5 Al 0.000 0.341 0.750 x4